# H6PbCBr3N
Simulated X-ray powder pattern, λ = 1.5418 Å (Cu Kα). Input: DFT lattice parameters and positions (PBE).

Structural model:
```
data_H6PbCBr3N
_chemical_formula_sum 'H24 Pb4 C4 Br12 N4'
_space_group_name_H-M_alt 'P n m a'
_space_group_IT_number 62
_space_group_name_Hall '-P 2ac 2n'
_cell_length_a 8.016
_cell_length_b 12.145
_cell_length_c 8.849
_cell_angle_alpha 90.00
_cell_angle_beta 90.00
_cell_angle_gamma 90.00
loop_
_atom_site_label
_atom_site_type_symbol
_atom_site_fract_x
_atom_site_fract_y
_atom_site_fract_z
_atom_site_occupancy
H1 H 0.008 0.181 0.145 1
H2 H 0.021 0.676 0.127 1
H3 H 0.162 0.250 0.931 1
H4 H 0.165 0.750 0.909 1
Pb1 Pb 0.000 0.000 0.500 1
C1 C 0.026 0.250 0.929 1
Br1 Br 0.042 0.250 0.511 1
Br2 Br 0.197 0.028 0.206 1
N1 N 0.036 0.750 0.912 1
```

Peak list (12 most intense, 10 to 90 degrees two-theta, in order of falling intensity)
d (Å)  two_theta  I/Imax
5.941  14.91  100
2.970  30.08  54
6.073  14.59  53
2.123  42.58  37
3.036  29.42  36
2.704  33.13  36
4.247  20.92  32
2.768  32.34  30
2.668  33.59  27
2.046  44.28  24
1.956  46.42  20
2.558  35.08  18